Record 1
Simulated powder XRD pattern
Compound: NaPaMoN3
Radiation: Cu Kα (λ = 1.5418 Å)
Structure: the PBE geometry in Alexandria

Cell: 7.043 3.539 8.964 Å, 90.00 101.52 90.00°
Positions (direct):
Na (0.161, 0.250, 0.136)
Na (0.839, 0.750, 0.864)
Pa (0.347, 0.750, 0.849)
Pa (0.653, 0.250, 0.151)
Mo (0.038, 0.250, 0.613)
Mo (0.962, 0.750, 0.387)
N (0.128, 0.250, 0.841)
N (0.169, 0.750, 0.590)
N (0.446, 0.750, 0.107)
N (0.554, 0.250, 0.893)
N (0.831, 0.250, 0.410)
N (0.872, 0.750, 0.159)

The 12 most intense peaks (10° ≤ 2θ ≤ 90°), sorted by position:
Position (°2θ)	Rel. int.
10.07	135
14.66	1000
26.14	79
28.34	92
29.59	277
31.03	216
32.49	264
36.35	343
40.09	114
41.11	83
51.61	142
51.71	89

---

Record 2
Simulated powder XRD pattern
Compound: Sm5BiSb4
Radiation: Cu Kα (λ = 1.5418 Å)
Structure: the PBE geometry in Alexandria

Cell: 11.871 11.871 11.871 Å, 158.20 149.01 38.21°
Positions (direct):
Sm (0.000, 0.000, 0.000)
Sm (0.200, 0.200, 0.000)
Sm (0.397, 0.397, 0.000)
Sm (0.603, 0.603, 0.000)
Sm (0.800, 0.800, 0.000)
Bi (0.500, 0.000, 0.500)
Sb (0.100, 0.600, 0.500)
Sb (0.299, 0.799, 0.500)
Sb (0.701, 0.201, 0.500)
Sb (0.900, 0.400, 0.500)

The 11 most intense peaks (10° ≤ 2θ ≤ 90°), sorted by position:
Position (°2θ)	Rel. int.
14.51	9
20.17	5
25.57	7
28.12	1000
29.11	6
40.19	769
49.78	276
58.15	130
65.82	356
73.05	263
86.82	86

---

Record 3
Simulated powder XRD pattern
Compound: Ba4Co
Radiation: Cu Kα (λ = 1.5418 Å)
Structure: the PBE geometry in Alexandria

Cell: 10.834 10.834 4.005 Å, 90.00 90.00 90.00°
Positions (direct):
Ba (0.057, 0.760, 0.000)
Ba (0.240, 0.057, 0.000)
Ba (0.260, 0.443, 0.500)
Ba (0.443, 0.740, 0.500)
Ba (0.557, 0.260, 0.500)
Ba (0.740, 0.557, 0.500)
Ba (0.760, 0.943, 0.000)
Ba (0.943, 0.240, 0.000)
Co (0.000, 0.000, 0.500)
Co (0.500, 0.500, 0.000)

The 12 most intense peaks (10° ≤ 2θ ≤ 90°), sorted by position:
Position (°2θ)	Rel. int.
11.55	167
23.22	420
23.68	290
26.01	601
28.92	1000
33.07	195
37.41	393
41.08	379
49.03	238
52.96	166
56.55	164
68.94	173

---

Record 4
Simulated powder XRD pattern
Compound: HoEr2Hg2
Radiation: Cu Kα (λ = 1.5418 Å)
Structure: the PBE geometry in Alexandria

Cell: 3.720 5.249 13.620 Å, 90.00 97.91 90.00°
Positions (direct):
Ho (0.147, 0.250, 0.293)
Ho (0.853, 0.750, 0.707)
Er (0.047, 0.750, 0.095)
Er (0.236, 0.750, 0.472)
Er (0.764, 0.250, 0.528)
Er (0.953, 0.250, 0.905)
Hg (0.356, 0.250, 0.711)
Hg (0.453, 0.750, 0.905)
Hg (0.547, 0.250, 0.095)
Hg (0.644, 0.750, 0.289)

The 12 most intense peaks (10° ≤ 2θ ≤ 90°), sorted by position:
Position (°2θ)	Rel. int.
33.20	228
33.89	1000
34.16	257
48.38	161
48.97	94
59.76	136
60.45	83
61.01	285
71.30	103
80.88	58
81.57	37
81.77	85

---

Record 5
Simulated powder XRD pattern
Compound: K2AlOF5
Radiation: Cu Kα (λ = 1.5418 Å)
Structure: the PBE geometry in Alexandria

Cell: 6.183 6.183 7.508 Å, 90.00 90.00 79.70°
Positions (direct):
K (0.001, 0.549, 0.750)
K (0.451, 0.999, 0.750)
K (0.549, 0.001, 0.250)
K (0.999, 0.451, 0.250)
Al (0.500, 0.500, 0.000)
Al (0.500, 0.500, 0.500)
O (0.099, 0.901, 0.250)
O (0.901, 0.099, 0.750)
F (0.272, 0.728, 0.519)
F (0.272, 0.728, 0.981)
F (0.309, 0.309, 0.000)
F (0.309, 0.309, 0.500)
F (0.482, 0.518, 0.250)
F (0.518, 0.482, 0.750)
F (0.691, 0.691, 0.000)
F (0.691, 0.691, 0.500)
F (0.728, 0.272, 0.019)
F (0.728, 0.272, 0.481)

The 12 most intense peaks (10° ≤ 2θ ≤ 90°), sorted by position:
Position (°2θ)	Rel. int.
14.56	885
27.93	243
29.36	191
30.35	311
32.72	165
32.86	282
37.91	398
38.07	1000
45.80	216
48.50	285
55.94	125
63.15	130

---

Record 6
Simulated powder XRD pattern
Compound: Pr4ErTm3S8
Radiation: Cu Kα (λ = 1.5418 Å)
Structure: the PBE geometry in Alexandria

Cell: 8.090 8.090 8.090 Å, 57.94 57.94 57.94°
Positions (direct):
Pr (0.000, 0.000, 0.000)
Pr (0.000, 0.500, 0.500)
Pr (0.500, 0.000, 0.500)
Pr (0.500, 0.500, 0.000)
Er (0.500, 0.500, 0.500)
Tm (0.000, 0.000, 0.500)
Tm (0.000, 0.500, 0.000)
Tm (0.500, 0.000, 0.000)
S (0.240, 0.742, 0.742)
S (0.241, 0.241, 0.241)
S (0.258, 0.258, 0.760)
S (0.258, 0.760, 0.258)
S (0.742, 0.240, 0.742)
S (0.742, 0.742, 0.240)
S (0.759, 0.759, 0.759)
S (0.760, 0.258, 0.258)

The 12 most intense peaks (10° ≤ 2θ ≤ 90°), sorted by position:
Position (°2θ)	Rel. int.
26.58	228
27.74	587
31.81	1000
44.86	371
46.34	348
52.90	112
54.22	201
57.30	187
66.47	114
74.48	158
76.67	157
84.86	119

---

Record 7
Simulated powder XRD pattern
Compound: Tl2CrPbCl6
Radiation: Cu Kα (λ = 1.5418 Å)
Structure: the PBE geometry in Alexandria

Cell: 7.181 7.238 7.607 Å, 62.10 61.86 89.81°
Positions (direct):
Tl (0.230, 0.227, 0.006)
Tl (0.770, 0.773, 0.994)
Cr (0.500, 0.000, 0.500)
Pb (0.000, 0.500, 0.500)
Cl (0.207, 0.848, 0.496)
Cl (0.216, 0.788, 0.000)
Cl (0.370, 0.315, 0.451)
Cl (0.630, 0.685, 0.549)
Cl (0.784, 0.212, 0.000)
Cl (0.793, 0.152, 0.504)

The 12 most intense peaks (10° ≤ 2θ ≤ 90°), sorted by position:
Position (°2θ)	Rel. int.
14.58	309
23.33	918
23.53	1000
24.60	526
24.80	528
31.43	553
35.15	297
35.27	303
40.44	303
42.44	260
42.77	394
42.89	363

---

Record 8
Simulated powder XRD pattern
Compound: Pm4Dy2Ho
Radiation: Cu Kα (λ = 1.5418 Å)
Structure: the PBE geometry in Alexandria

Cell: 12.516 6.794 13.489 Å, 67.05 29.99 82.96°
Positions (direct):
Pm (0.018, 0.982, 0.122)
Pm (0.128, 0.372, 0.232)
Pm (0.372, 0.128, 0.268)
Pm (0.456, 0.606, 0.257)
Pm (0.569, 0.993, 0.644)
Pm (0.606, 0.456, 0.681)
Pm (0.982, 0.018, 0.878)
Pm (0.993, 0.569, 0.794)
Dy (0.065, 0.545, 0.004)
Dy (0.246, 0.865, 0.185)
Dy (0.545, 0.065, 0.385)
Dy (0.865, 0.246, 0.705)
Ho (0.494, 0.494, 0.506)
Ho (0.744, 0.744, 0.756)

The 12 most intense peaks (10° ≤ 2θ ≤ 90°), sorted by position:
Position (°2θ)	Rel. int.
28.58	150
29.89	105
30.28	1000
30.82	317
31.50	634
32.24	332
32.38	245
37.15	268
50.54	200
55.35	206
58.84	104
60.81	140

---

Record 9
Simulated powder XRD pattern
Compound: Ac3Cd2Si2Pt4
Radiation: Cu Kα (λ = 1.5418 Å)
Structure: the PBE geometry in Alexandria

Cell: 4.341 4.341 16.652 Å, 90.00 90.00 120.00°
Positions (direct):
Ac (0.000, 0.000, 0.000)
Ac (0.000, 0.000, 0.270)
Ac (0.000, 0.000, 0.730)
Cd (0.333, 0.667, 0.553)
Cd (0.667, 0.333, 0.447)
Si (0.333, 0.667, 0.131)
Si (0.667, 0.333, 0.869)
Pt (0.333, 0.667, 0.377)
Pt (0.333, 0.667, 0.862)
Pt (0.667, 0.333, 0.138)
Pt (0.667, 0.333, 0.623)

The 12 most intense peaks (10° ≤ 2θ ≤ 90°), sorted by position:
Position (°2θ)	Rel. int.
24.27	143
26.01	500
28.68	329
32.08	1000
40.40	305
41.61	702
45.10	107
53.49	242
57.48	150
61.75	152
69.96	219
75.94	122

---

Record 10
Simulated powder XRD pattern
Compound: RbGaAg2Pt
Radiation: Cu Kα (λ = 1.5418 Å)
Structure: the PBE geometry in Alexandria

Cell: 5.378 5.378 4.804 Å, 90.00 90.00 90.00°
Positions (direct):
Rb (0.000, 0.000, 0.000)
Ga (0.500, 0.500, 0.000)
Ag (0.000, 0.500, 0.500)
Ag (0.500, 0.000, 0.500)
Pt (0.500, 0.500, 0.500)

The 12 most intense peaks (10° ≤ 2θ ≤ 90°), sorted by position:
Position (°2θ)	Rel. int.
16.48	518
18.47	420
24.85	529
29.97	306
33.32	1000
37.42	503
38.36	269
42.01	265
47.83	357
50.97	618
62.27	350
82.16	160

---

Record 11
Simulated powder XRD pattern
Compound: Tl2OsPt3O12
Radiation: Cu Kα (λ = 1.5418 Å)
Structure: the PBE geometry in Alexandria

Cell: 7.250 7.250 7.250 Å, 59.14 59.14 59.14°
Positions (direct):
Tl (0.116, 0.116, 0.116)
Tl (0.884, 0.884, 0.884)
Os (0.500, 0.500, 0.500)
Pt (0.000, 0.500, 0.500)
Pt (0.500, 0.000, 0.500)
Pt (0.500, 0.500, 0.000)
O (0.166, 0.166, 0.575)
O (0.166, 0.575, 0.166)
O (0.190, 0.567, 0.567)
O (0.425, 0.834, 0.834)
O (0.433, 0.433, 0.810)
O (0.433, 0.810, 0.433)
O (0.567, 0.190, 0.567)
O (0.567, 0.567, 0.190)
O (0.575, 0.166, 0.166)
O (0.810, 0.433, 0.433)
O (0.834, 0.425, 0.834)
O (0.834, 0.834, 0.425)

The 12 most intense peaks (10° ≤ 2θ ≤ 90°), sorted by position:
Position (°2θ)	Rel. int.
24.56	234
24.89	236
28.83	714
29.12	1000
29.26	591
30.54	747
46.35	327
46.54	289
50.35	433
51.06	427
59.71	367
71.55	156

---

Record 12
Simulated powder XRD pattern
Compound: LiAcP2Pd5
Radiation: Cu Kα (λ = 1.5418 Å)
Structure: the PBE geometry in Alexandria

Cell: 4.609 4.609 7.981 Å, 90.00 90.00 90.00°
Positions (direct):
Li (0.000, 0.000, 0.000)
Ac (0.000, 0.000, 0.500)
P (0.500, 0.500, 0.208)
P (0.500, 0.500, 0.792)
Pd (0.000, 0.500, 0.177)
Pd (0.000, 0.500, 0.823)
Pd (0.500, 0.000, 0.177)
Pd (0.500, 0.000, 0.823)
Pd (0.500, 0.500, 0.500)

The 12 most intense peaks (10° ≤ 2θ ≤ 90°), sorted by position:
Position (°2θ)	Rel. int.
22.27	105
29.61	1000
33.69	401
35.57	649
39.09	588
52.54	449
53.88	155
56.47	202
65.06	339
67.39	211
68.54	192
84.00	166